Record 1
For Nd4Dy5Sc, a DFT-relaxed cell (GGA-PBE, Alexandria) gives the computed powder diffractogram in this record (Cu Ka).
Neutral-atom scattering factors, no anomalous dispersion.

Structural model:
Unit cell a=8.090 b=8.090 c=8.090 alpha=97.60 beta=97.60 gamma=137.35
Positions (direct):
Nd: 0.000 0.322 0.322
Nd: 0.000 0.678 0.678
Nd: 0.322 0.000 0.322
Nd: 0.678 0.000 0.678
Dy: 0.237 0.237 0.000
Dy: 0.336 0.336 0.628
Dy: 0.336 0.708 0.000
Dy: 0.708 0.336 0.000
Dy: 0.708 0.708 0.372
Sc: 0.764 0.764 0.000

Top 12 peaks for 10 to 90 degrees two-theta, most intense first:
2θ (°)  Rel. int.
29.4  100
35.7  37
60.3  19
30.4  16
47.6  16
53.4  15
34.8  12
51.4  11
74.8  9
59.5  9
33.9  8
45.2  8

Record 2
For NdDy4Sc3, a DFT-relaxed cell (GGA-PBE, Alexandria) gives the computed powder diffractogram in this record (Cu Ka).
Neutral-atom scattering factors, no anomalous dispersion.

Structural model:
Unit cell a=8.596 b=8.596 c=8.596 alpha=157.68 beta=98.41 gamma=85.91
Positions (direct):
Nd: 0.000 0.000 0.000
Dy: 0.122 0.867 0.255
Dy: 0.388 0.133 0.255
Dy: 0.612 0.867 0.745
Dy: 0.878 0.133 0.745
Sc: 0.241 0.741 0.500
Sc: 0.500 0.500 0.000
Sc: 0.759 0.259 0.500

Top 12 peaks for 10 to 90 degrees two-theta, most intense first:
2θ (°)  Rel. int.
32.6  100
38.1  64
31.9  55
27.7  51
15.8  43
42.7  32
32.1  29
65.6  26
60.9  24
31.4  21
57.3  19
34.4  17

Record 3
For Nd11Dy9Sc4, a DFT-relaxed cell (GGA-PBE, Alexandria) gives the computed powder diffractogram in this record (Cu Ka).
Neutral-atom scattering factors, no anomalous dispersion.

Structural model:
Unit cell a=15.301 b=15.301 c=3.600 alpha=90.00 beta=90.00 gamma=113.09
Positions (direct):
Nd: 0.000 0.000 0.000
Nd: 0.046 0.406 0.000
Nd: 0.160 0.840 0.000
Nd: 0.299 0.299 0.000
Nd: 0.371 0.629 0.000
Nd: 0.406 0.046 0.000
Nd: 0.594 0.954 0.000
Nd: 0.629 0.371 0.000
Nd: 0.701 0.701 0.000
Nd: 0.840 0.160 0.000
Nd: 0.954 0.594 0.000
Dy: 0.073 0.217 0.500
Dy: 0.167 0.628 0.500
Dy: 0.217 0.073 0.500
Dy: 0.372 0.833 0.500
Dy: 0.500 0.500 0.500
Dy: 0.628 0.167 0.500
Dy: 0.783 0.927 0.500
Dy: 0.833 0.372 0.500
Dy: 0.927 0.783 0.500
Sc: 0.241 0.446 0.500
Sc: 0.446 0.241 0.500
Sc: 0.554 0.759 0.500
Sc: 0.759 0.554 0.500

Top 12 peaks for 10 to 90 degrees two-theta, most intense first:
2θ (°)  Rel. int.
32.6  100
29.8  85
32.7  80
30.8  33
31.3  31
60.0  29
32.0  28
30.4  27
28.5  27
50.7  23
29.7  20
29.9  19

Record 4
For Nd4Dy5Sc, a DFT-relaxed cell (GGA-PBE, Alexandria) gives the computed powder diffractogram in this record (Cu Ka).
Neutral-atom scattering factors, no anomalous dispersion.

Structural model:
Unit cell a=9.014 b=9.014 c=11.035 alpha=106.95 beta=106.95 gamma=22.26
Positions (direct):
Nd: 0.089 0.089 0.304
Nd: 0.305 0.305 0.415
Nd: 0.695 0.695 0.585
Nd: 0.911 0.911 0.696
Dy: 0.106 0.106 0.789
Dy: 0.207 0.207 0.097
Dy: 0.500 0.500 0.000
Dy: 0.793 0.793 0.903
Dy: 0.894 0.894 0.211
Sc: 0.500 0.500 0.500

Top 12 peaks for 10 to 90 degrees two-theta, most intense first:
2θ (°)  Rel. int.
30.8  100
31.3  91
32.5  84
30.4  69
30.1  62
37.1  45
37.9  32
62.2  27
62.5  26
52.6  25
56.6  25
63.2  25